Structure and calculated powder XRD pattern of Y2HoAl2Cd4 (DFT lattice parameters and positions (GGA-PBE); CuKα).
Lines closer than 0.1° are merged.

Principal peaks in the range 15° ≤ 2θ ≤ 90°, in order of rising 2θ:
3.161 Å, intensity 18, hkl 0 4 0
2.847 Å, intensity 87, hkl 1 0 2
2.596 Å, intensity 100, hkl 1 4 0
2.389 Å, intensity 45, hkl 0 1 3
2.276 Å, intensity 31, hkl 2 0 0
2.115 Å, intensity 20, hkl 1 4 2
2.107 Å, intensity 13, hkl 0 6 0
1.648 Å, intensity 28, hkl 2 1 3
1.636 Å, intensity 16, hkl 1 5 3
1.382 Å, intensity 23, hkl 1 1 5
1.368 Å, intensity 13, hkl 3 4 0
1.298 Å, intensity 10, hkl 2 8 0

Structure:
```
data_Y2HoAl2Cd4
_chemical_formula_sum 'Y4 Ho2 Al4 Cd8'
_cell_length_a 4.5516
_cell_length_b 12.6335
_cell_length_c 7.3043
_cell_angle_alpha 90.00
_cell_angle_beta 90.00
_cell_angle_gamma 90.00
_space_group_name_H-M_alt 'A m m 2'
_space_group_IT_number 38
loop_
_space_group_symop_operation_xyz
'x,y,z'
'-x,-y,z'
'-x,y,z'
'x,-y,z'
'x,y+1/2,z+1/2'
'-x,-y+1/2,z+1/2'
'-x,y+1/2,z+1/2'
'x,-y+1/2,z+1/2'
loop_
_atom_site_label
_atom_site_fract_x
_atom_site_fract_y
_atom_site_fract_z
Y1 0.0000 0.2147 0.0000
Ho1 0.0000 0.0000 0.3557
Al1 0.5000 0.1663 0.2853
Cd1 0.0000 0.0000 0.7844
Cd2 0.5000 0.0000 0.0369
Cd3 0.5000 0.1256 0.6593
```

***

Structure and calculated powder XRD pattern of PmPrO2F2 (DFT lattice parameters and positions (GGA-PBE); CuKα).
Lines closer than 0.1° are merged.

Principal peaks in the range 15° ≤ 2θ ≤ 90°, in order of rising 2θ:
5.783 Å, intensity 10, hkl 0 0 1
3.229 Å, intensity 100, hkl 1 0 1
2.892 Å, intensity 13, hkl 0 0 2
2.752 Å, intensity 45, hkl 1 1 0
2.321 Å, intensity 21, hkl 1 0 2
1.993 Å, intensity 31, hkl 1 1 2
1.946 Å, intensity 24, hkl 2 0 0
1.727 Å, intensity 14, hkl 1 0 3
1.667 Å, intensity 30, hkl 2 1 1
1.614 Å, intensity 10, hkl 2 0 2
1.491 Å, intensity 10, hkl 2 1 2
1.292 Å, intensity 10, hkl 2 1 3

Structure:
```
data_PmPrO2F2
_chemical_formula_sum 'Pm1 Pr1 O2 F2'
_cell_length_a 3.8919
_cell_length_b 3.8919
_cell_length_c 5.7833
_cell_angle_alpha 90.00
_cell_angle_beta 90.00
_cell_angle_gamma 90.00
_space_group_name_H-M_alt 'P 4 m m'
_space_group_IT_number 99
loop_
_space_group_symop_operation_xyz
'x,y,z'
'-y,x,z'
'-x,-y,z'
'y,-x,z'
'-x,y,z'
'y,x,z'
'x,-y,z'
'-y,-x,z'
loop_
_atom_site_label
_atom_site_fract_x
_atom_site_fract_y
_atom_site_fract_z
Pm1 0.0000 0.0000 0.0000
Pr1 0.5000 0.5000 0.4170
O1 0.0000 0.5000 0.2030
F1 0.0000 0.0000 0.5965
F2 0.5000 0.5000 0.8250
```

***

Structure and calculated powder XRD pattern of RbP2OsO8 (DFT lattice parameters and positions (GGA-PBE); CuKα).
Lines closer than 0.1° are merged.

Principal peaks in the range 15° ≤ 2θ ≤ 90°, in order of rising 2θ:
4.196 Å, intensity 17, hkl 0 0 6
4.073 Å, intensity 13, hkl 1 0 1
3.922 Å, intensity 31, hkl 0 1 2
3.451 Å, intensity 100, hkl 1 0 4
2.503 Å, intensity 27, hkl 0 1 8
2.383 Å, intensity 29, hkl 1 1 0
2.149 Å, intensity 15, hkl 1 0 10
2.072 Å, intensity 22, hkl 2 -1 6
1.961 Å, intensity 16, hkl 0 2 4
1.575 Å, intensity 15, hkl 1 1 12
1.514 Å, intensity 16, hkl 2 1 4
1.398 Å, intensity 11, hkl 1 2 8

Structure:
```
data_RbP2OsO8
_chemical_formula_sum 'Rb3 P6 Os3 O24'
_cell_length_a 4.7657
_cell_length_b 4.7657
_cell_length_c 25.1783
_cell_angle_alpha 90.00
_cell_angle_beta 90.00
_cell_angle_gamma 120.00
_space_group_name_H-M_alt 'R -3'
_space_group_IT_number 148
_space_group_name_Hall '-R 3'
loop_
_atom_site_label
_atom_site_fract_x
_atom_site_fract_y
_atom_site_fract_z
Rb1 0.0000 0.0000 0.0000
P1 0.0000 0.0000 0.2356
Os1 0.0000 0.0000 0.5000
O1 0.0000 0.0000 0.2946
O2 0.0159 0.3723 0.8792
```